Record 1
Starting from a cell relaxed with PBE, the powder diffraction line list of Nd6USe12 was calculated for Cu Kα, 1.54184 Å.
Lines closer than 0.1° are merged.

Structural model:
```
data_Nd6USe12
_chemical_formula_sum 'Nd6 U1 Se12'
_symmetry_space_group_name_H-M 'P 1'
_symmetry_Int_Tables_number 1
_cell_length_a 8.408
_cell_length_b 8.408
_cell_length_c 8.408
_cell_angle_alpha 98.74
_cell_angle_beta 98.74
_cell_angle_gamma 98.74
loop_
_symmetry_equiv_pos_as_xyz
'x,y,z'
loop_
_atom_site_label
_atom_site_type_symbol
_atom_site_fract_x
_atom_site_fract_y
_atom_site_fract_z
Nd1 Nd 0.139 0.643 0.821
Nd2 Nd 0.179 0.861 0.357
Nd3 Nd 0.357 0.179 0.861
Nd4 Nd 0.643 0.821 0.139
Nd5 Nd 0.821 0.139 0.643
Nd6 Nd 0.861 0.357 0.179
U1 U 0.500 0.500 0.500
Se1 Se 0.074 0.324 0.921
Se2 Se 0.079 0.926 0.676
Se3 Se 0.180 0.522 0.432
Se4 Se 0.324 0.921 0.074
Se5 Se 0.432 0.180 0.522
Se6 Se 0.478 0.568 0.820
Se7 Se 0.522 0.432 0.180
Se8 Se 0.568 0.820 0.478
Se9 Se 0.676 0.079 0.926
Se10 Se 0.820 0.478 0.568
Se11 Se 0.921 0.074 0.324
Se12 Se 0.926 0.676 0.079
```

Main lines, by angle (2θ = 10–80°):
d (Å)	2theta	I (rel.)
5.323	16.7	17
4.050	21.9	21
3.950	22.5	100
2.737	32.7	35
2.725	32.9	17
2.457	36.6	54
2.412	37.3	60
2.072	43.7	19
2.059	44.0	19
1.377	68.1	17

Record 2
Starting from a cell relaxed with PBE, the powder diffraction line list of Nd2U2Se7 was calculated for Cu Kα, 1.54184 Å.
Lines closer than 0.1° are merged.

Structural model:
```
data_Nd2U2Se7
_chemical_formula_sum 'Nd2 U2 Se7'
_symmetry_space_group_name_H-M 'P 1'
_symmetry_Int_Tables_number 1
_cell_length_a 8.984
_cell_length_b 8.984
_cell_length_c 8.984
_cell_angle_alpha 153.41
_cell_angle_beta 67.33
_cell_angle_gamma 119.42
loop_
_symmetry_equiv_pos_as_xyz
'x,y,z'
loop_
_atom_site_label
_atom_site_type_symbol
_atom_site_fract_x
_atom_site_fract_y
_atom_site_fract_z
Nd1 Nd 0.239 0.000 0.239
Nd2 Nd 0.761 0.000 0.761
U1 U 0.243 0.243 0.000
U2 U 0.695 0.195 0.500
Se1 Se 0.066 0.697 0.369
Se2 Se 0.328 0.697 0.631
Se3 Se 0.415 0.520 0.894
Se4 Se 0.619 0.299 0.320
Se5 Se 0.626 0.520 0.106
Se6 Se 0.924 0.924 0.000
Se7 Se 0.979 0.299 0.680
```

Main lines, by angle (2θ = 10–80°):
d (Å)	2theta	I (rel.)
3.875	22.9	53
3.759	23.7	32
3.359	26.5	30
2.991	29.9	22
2.651	33.8	100
2.604	34.4	23
2.318	38.8	53
2.184	41.3	31
2.077	43.6	20
2.066	43.8	29

Record 3
Starting from a cell relaxed with PBE, the powder diffraction line list of Nd2USe4 was calculated for Cu Kα, 1.54184 Å.
Lines closer than 0.1° are merged.

Structural model:
```
data_Nd2USe4
_chemical_formula_sum 'Nd4 U2 Se8'
_symmetry_space_group_name_H-M 'P 1'
_symmetry_Int_Tables_number 1
_cell_length_a 7.676
_cell_length_b 7.676
_cell_length_c 7.676
_cell_angle_alpha 109.31
_cell_angle_beta 109.31
_cell_angle_gamma 109.80
loop_
_symmetry_equiv_pos_as_xyz
'x,y,z'
loop_
_atom_site_label
_atom_site_type_symbol
_atom_site_fract_x
_atom_site_fract_y
_atom_site_fract_z
Nd1 Nd 0.000 0.125 0.375
Nd2 Nd 0.375 0.000 0.125
Nd3 Nd 0.750 0.625 0.625
Nd4 Nd 0.875 0.250 0.875
U1 U 0.250 0.750 0.500
U2 U 0.500 0.500 0.000
Se1 Se 0.129 0.028 0.749
Se2 Se 0.130 0.529 0.751
Se3 Se 0.279 0.380 0.251
Se4 Se 0.471 0.222 0.601
Se5 Se 0.620 0.871 0.899
Se6 Se 0.621 0.870 0.399
Se7 Se 0.778 0.379 0.249
Se8 Se 0.972 0.721 0.101
```

Main lines, by angle (2θ = 10–80°):
d (Å)	2theta	I (rel.)
3.619	24.6	65
2.807	31.9	100
2.793	32.0	55
2.371	38.0	81
2.364	38.1	27
1.985	45.7	28
1.890	48.2	30
1.737	52.7	17
1.440	64.7	34
1.208	79.3	22

Record 4
Starting from a cell relaxed with PBE, the powder diffraction line list of Nd2YSe was calculated for Cu Kα, 1.54184 Å.
Lines closer than 0.1° are merged.

Structural model:
```
data_Nd2YSe
_chemical_formula_sum 'Nd6 Y3 Se3'
_symmetry_space_group_name_H-M 'P 1'
_symmetry_Int_Tables_number 1
_cell_length_a 3.917
_cell_length_b 3.917
_cell_length_c 29.221
_cell_angle_alpha 90.00
_cell_angle_beta 90.00
_cell_angle_gamma 120.00
loop_
_symmetry_equiv_pos_as_xyz
'x,y,z'
loop_
_atom_site_label
_atom_site_type_symbol
_atom_site_fract_x
_atom_site_fract_y
_atom_site_fract_z
Nd1 Nd 0.000 0.000 0.232
Nd2 Nd 0.000 0.000 0.768
Nd3 Nd 0.333 0.667 0.434
Nd4 Nd 0.333 0.667 0.899
Nd5 Nd 0.667 0.333 0.101
Nd6 Nd 0.667 0.333 0.566
Y1 Y 0.000 0.000 0.000
Y2 Y 0.333 0.667 0.667
Y3 Y 0.667 0.333 0.333
Se1 Se 0.000 0.000 0.500
Se2 Se 0.333 0.667 0.167
Se3 Se 0.667 0.333 0.833
```

Main lines, by angle (2θ = 10–80°):
d (Å)	2theta	I (rel.)
3.247	27.5	13
3.077	29.0	100
2.934	30.5	13
2.633	34.1	13
2.486	36.1	37
2.092	43.3	12
1.959	46.4	31
1.677	54.7	12
1.652	55.6	16
1.263	75.2	13

> Which formula does entry 3 have?

Nd2USe4